1.
This entry pairs a crystal structure of Dy8Ag3Sb2 with its simulated powder X-ray diffraction pattern. Radiation: Cu Kα (weighted mean of Kα1 and Kα2). Structure: a cell relaxed with GGA-PBE.
Kinematic intensities with the Lorentz-polarization factor, no thermal factor.

Most intense lines, 10° ≤ 2θ ≤ 90°, by angle:
d [Å]  2θ/deg  I (rel.)  (hkl)
3.138  28.45  85  2 2 -1
3.112  28.68  56  2 2 1
2.856  31.32  51  2 0 -2
2.819  31.74  100  2 0 2
2.776  32.25  91  5 1 0
2.531  35.47  78  4 2 -1
2.505  35.85  81  3 1 -2
2.493  36.02  57  1 3 1

Cell and atoms:
```
data_Dy8Ag3Sb2
_chemical_formula_sum 'Dy16 Ag6 Sb4'
_cell_length_a 14.722
_cell_length_b 8.340
_cell_length_c 6.151
_cell_angle_alpha 90.00
_cell_angle_beta 91.08
_cell_angle_gamma 90.00
_space_group_name_H-M_alt 'C 1 2/m 1'
_space_group_IT_number 12
loop_
_space_group_symop_operation_xyz
'x,y,z'
'-x,-y,-z'
'-x,y,-z'
'x,-y,z'
'x+1/2,y+1/2,z'
'-x+1/2,-y+1/2,-z'
'-x+1/2,y+1/2,-z'
'x+1/2,-y+1/2,z'
loop_
_atom_site_label
_atom_site_type_symbol
_atom_site_fract_x
_atom_site_fract_y
_atom_site_fract_z
_atom_site_occupancy
Dy1 Dy 0.089 0.000 0.355 1
Dy2 Dy 0.115 0.208 0.855 1
Dy3 Dy 0.181 0.500 0.404 1
Ag1 Ag 0.000 0.328 0.500 1
Ag2 Ag 0.000 0.500 0.000 1
Sb1 Sb 0.237 0.500 0.914 1
```

---

2.
This entry pairs a crystal structure of Dy3AgSb with its simulated powder X-ray diffraction pattern. Radiation: Cu Kα (weighted mean of Kα1 and Kα2). Structure: a cell relaxed with GGA-PBE.
Kinematic intensities with the Lorentz-polarization factor, no thermal factor.

Most intense lines, 10° ≤ 2θ ≤ 90°, by angle:
d [Å]  2θ/deg  I (rel.)  (hkl)
8.738  10.12  29  0 0 1
3.373  26.42  27  0 1 2
3.183  28.03  36  2 0 0
2.652  33.80  100  0 2 0
2.605  34.42  84  2 1 1
2.573  34.88  54  2 0 2
2.553  35.15  82  0 1 3
1.847  49.34  40  2 2 2

Cell and atoms:
```
data_Dy3AgSb
_chemical_formula_sum 'Dy6 Ag2 Sb2'
_cell_length_a 6.366
_cell_length_b 5.307
_cell_length_c 8.738
_cell_angle_alpha 90.00
_cell_angle_beta 90.00
_cell_angle_gamma 90.00
_space_group_name_H-M_alt 'P m m a'
_space_group_IT_number 51
loop_
_space_group_symop_operation_xyz
'x,y,z'
'-x,-y,-z'
'-x+1/2,-y,z'
'x+1/2,y,-z'
'x+1/2,-y,-z'
'-x+1/2,y,z'
'-x,y,-z'
'x,-y,z'
loop_
_atom_site_label
_atom_site_type_symbol
_atom_site_fract_x
_atom_site_fract_y
_atom_site_fract_z
_atom_site_occupancy
Dy1 Dy 0.000 0.000 0.000 1
Dy2 Dy 0.250 0.000 0.357 1
Dy3 Dy 0.250 0.500 0.767 1
Ag1 Ag 0.250 0.000 0.686 1
Sb1 Sb 0.250 0.500 0.142 1
```

---

3.
This entry pairs a crystal structure of DyAg2SbTe4 with its simulated powder X-ray diffraction pattern. Radiation: Cu Kα (weighted mean of Kα1 and Kα2). Structure: a cell relaxed with GGA-PBE.
Kinematic intensities with the Lorentz-polarization factor, no thermal factor.

Most intense lines, 10° ≤ 2θ ≤ 90°, by angle:
d [Å]  2θ/deg  I (rel.)  (hkl)
3.075  29.04  100  1 1 1
2.199  41.04  39  0 2 0
2.151  42.01  36  2 0 2
1.788  51.09  14  2 2 -2
1.538  60.18  12  2 2 2
1.388  67.46  12  0 2 4
1.363  68.86  11  4 2 0
1.259  75.49  8  4 2 -4

Cell and atoms:
```
data_DyAg2SbTe4
_chemical_formula_sum 'Dy1 Ag2 Sb1 Te4'
_cell_length_a 7.395
_cell_length_b 4.394
_cell_length_c 7.626
_cell_angle_alpha 90.00
_cell_angle_beta 110.02
_cell_angle_gamma 90.00
_space_group_name_H-M_alt 'P 1 2/m 1'
_space_group_IT_number 10
loop_
_space_group_symop_operation_xyz
'x,y,z'
'-x,-y,-z'
'-x,y,-z'
'x,-y,z'
loop_
_atom_site_label
_atom_site_type_symbol
_atom_site_fract_x
_atom_site_fract_y
_atom_site_fract_z
_atom_site_occupancy
Dy1 Dy 0.000 0.000 0.000 1
Ag1 Ag 0.500 0.000 0.500 1
Ag2 Ag 0.500 0.500 0.000 1
Sb1 Sb 0.000 0.500 0.500 1
Te1 Te 0.255 0.500 0.252 1
Te2 Te 0.260 0.000 0.752 1
```

---

4.
This entry pairs a crystal structure of DySc3Ag4 with its simulated powder X-ray diffraction pattern. Radiation: Cu Kα (weighted mean of Kα1 and Kα2). Structure: a cell relaxed with GGA-PBE.
Kinematic intensities with the Lorentz-polarization factor, no thermal factor.

Most intense lines, 10° ≤ 2θ ≤ 90°, by angle:
d [Å]  2θ/deg  I (rel.)  (hkl)
3.483  25.57  5  1 0 0
3.115  28.66  5  1 0 2
2.788  32.11  8  0 0 5
2.463  36.48  100  1 1 0
1.742  52.54  16  2 0 0
1.422  65.65  31  2 1 4
1.232  77.50  9  2 2 0
1.101  88.87  10  3 1 0

Cell and atoms:
```
data_DySc3Ag4
_chemical_formula_sum 'Dy1 Sc3 Ag4'
_cell_length_a 3.482
_cell_length_b 3.482
_cell_length_c 13.949
_cell_angle_alpha 90.00
_cell_angle_beta 90.00
_cell_angle_gamma 90.00
_space_group_name_H-M_alt 'P 4/m m m'
_space_group_IT_number 123
_space_group_name_Hall '-P 4 2'
loop_
_atom_site_label
_atom_site_type_symbol
_atom_site_fract_x
_atom_site_fract_y
_atom_site_fract_z
_atom_site_occupancy
Dy1 Dy 0.000 0.000 0.000 1
Sc1 Sc 0.000 0.000 0.258 1
Sc2 Sc 0.000 0.000 0.500 1
Ag1 Ag 0.500 0.500 0.141 1
Ag2 Ag 0.500 0.500 0.379 1
```

---

5.
This entry pairs a crystal structure of Dy4TmAgSe8 with its simulated powder X-ray diffraction pattern. Radiation: Cu Kα (weighted mean of Kα1 and Kα2). Structure: a cell relaxed with GGA-PBE.
Kinematic intensities with the Lorentz-polarization factor, no thermal factor.

Most intense lines, 10° ≤ 2θ ≤ 90°, by angle:
d [Å]  2θ/deg  I (rel.)  (hkl)
6.832  12.96  19  1 0 1
4.183  21.24  24  1 1 0
3.567  24.96  100  0 1 5
2.958  30.22  62  0 2 4
2.277  39.58  52  1 2 5
2.095  43.19  54  2 2 0
2.088  43.34  54  2 0 8
1.479  62.84  17  0 4 8

Cell and atoms:
```
data_Dy4TmAgSe8
_chemical_formula_sum 'Dy12 Tm3 Ag3 Se24'
_cell_length_a 8.3791
_cell_length_b 8.3791
_cell_length_c 20.4244
_cell_angle_alpha 90.00
_cell_angle_beta 90.00
_cell_angle_gamma 120.00
_space_group_name_H-M_alt 'R 3 m'
_space_group_IT_number 160
_space_group_name_Hall 'R 3 -2"'
loop_
_atom_site_label
_atom_site_type_symbol
_atom_site_fract_x
_atom_site_fract_y
_atom_site_fract_z
_atom_site_occupancy
Dy1 Dy 0.0000 0.0000 0.0000 1
Dy2 Dy 0.1730 0.3460 0.2073 1
Tm1 Tm 0.0000 0.0000 0.3806 1
Ag1 Ag 0.0000 0.0000 0.7512 1
Se1 Se 0.0000 0.0000 0.1338 1
Se2 Se 0.0000 0.0000 0.6192 1
Se3 Se 0.0191 0.5095 0.1269 1
Se4 Se 0.1792 0.3583 0.9572 1
```

---

6.
This entry pairs a crystal structure of Dy2SiAg with its simulated powder X-ray diffraction pattern. Radiation: Cu Kα (weighted mean of Kα1 and Kα2). Structure: a cell relaxed with GGA-PBE.
Kinematic intensities with the Lorentz-polarization factor, no thermal factor.

Most intense lines, 10° ≤ 2θ ≤ 90°, by angle:
d [Å]  2θ/deg  I (rel.)  (hkl)
3.421  26.05  41  1 1 0
2.821  31.72  71  1 1 -2
2.797  31.99  100  2 0 0
2.727  32.84  28  2 0 -2
2.671  33.55  29  1 0 2
2.347  38.35  32  2 1 0
2.163  41.75  34  0 2 0
1.710  53.59  33  2 2 0

Cell and atoms:
```
data_Dy2SiAg
_chemical_formula_sum 'Dy4 Si2 Ag2'
_cell_length_a 5.960
_cell_length_b 4.327
_cell_length_c 7.832
_cell_angle_alpha 90.00
_cell_angle_beta 110.37
_cell_angle_gamma 90.00
_space_group_name_H-M_alt 'P 1 21/m 1'
_space_group_IT_number 11
loop_
_space_group_symop_operation_xyz
'x,y,z'
'-x,-y,-z'
'-x,y+1/2,-z'
'x,-y+1/2,z'
loop_
_atom_site_label
_atom_site_type_symbol
_atom_site_fract_x
_atom_site_fract_y
_atom_site_fract_z
_atom_site_occupancy
Dy1 Dy 0.201 0.250 0.426 1
Dy2 Dy 0.220 0.250 0.929 1
Si1 Si 0.335 0.750 0.710 1
Ag1 Ag 0.350 0.750 0.217 1
```